(1)
Diffraction record for Dy2ErMg3Tl2Hg. The powder diffractogram is calculated, not measured: it uses a PBE-relaxed structure and Cu Kα (λ = 1.5418 Å).
No peak broadening, texture or thermal motion is included.

Main lines, in order of falling intensity (2θ = 10–90°):
Position (°2θ)  I_rel
33.80  100
23.72  67
30.78  55
41.67  40
65.92  26
39.25  26
58.59  20
41.76  19

Structure:
```
data_Dy2ErMg3Tl2Hg
_cell_length_a 4.5911
_cell_length_b 12.9739
_cell_length_c 7.5181
_cell_angle_alpha 90.00
_cell_angle_beta 90.00
_cell_angle_gamma 90.00
_space_group_name_H-M_alt 'A m m 2'
_space_group_IT_number 38
loop_
_space_group_symop_operation_xyz
'x,y,z'
'-x,-y,z'
'-x,y,z'
'x,-y,z'
'x,y+1/2,z+1/2'
'-x,-y+1/2,z+1/2'
'-x,y+1/2,z+1/2'
'x,-y+1/2,z+1/2'
loop_
_atom_site_label
_atom_site_type_symbol
_atom_site_fract_x
_atom_site_fract_y
_atom_site_fract_z
_atom_site_occupancy
Dy1 Dy 0.0000 0.2106 0.0000 1
Er1 Er 0.0000 0.0000 0.6314 1
Mg1 Mg 0.5000 0.0000 0.9725 1
Mg2 Mg 0.5000 0.1194 0.3304 1
Tl1 Tl 0.5000 0.1659 0.7105 1
Hg1 Hg 0.0000 0.0000 0.2128 1
```

(2)
Diffraction record for BeBiSbMo. The powder diffractogram is calculated, not measured: it uses a PBE-relaxed structure and Cu Kα (λ = 1.5418 Å).
No peak broadening, texture or thermal motion is included.

Main lines, in order of falling intensity (2θ = 10–90°):
Position (°2θ)  I_rel
36.72  100
22.25  50
66.14  36
43.36  28
52.91  17
89.56  17
58.09  12
78.11  11

Structure:
```
data_BeBiSbMo
_cell_length_a 6.9218
_cell_length_b 6.9218
_cell_length_c 6.9218
_cell_angle_alpha 90.00
_cell_angle_beta 90.00
_cell_angle_gamma 90.00
_space_group_name_H-M_alt 'F -4 3 m'
_space_group_IT_number 216
_space_group_name_Hall 'F -4 2 3'
loop_
_atom_site_label
_atom_site_type_symbol
_atom_site_fract_x
_atom_site_fract_y
_atom_site_fract_z
_atom_site_occupancy
Be1 Be 0.0000 0.0000 0.0000 1
Bi1 Bi 0.0000 0.0000 0.5000 1
Sb1 Sb 0.2500 0.2500 0.2500 1
Mo1 Mo 0.2500 0.2500 0.7500 1
```

(3)
Diffraction record for MgCuIrS3. The powder diffractogram is calculated, not measured: it uses a PBE-relaxed structure and Cu Kα (λ = 1.5418 Å).
No peak broadening, texture or thermal motion is included.

Main lines, in order of falling intensity (2θ = 10–90°):
Position (°2θ)  I_rel
15.28  100
39.57  62
32.70  46
33.99  25
39.94  25
50.99  22
24.99  22
19.66  17

Structure:
```
data_MgCuIrS3
_cell_length_a 3.6066
_cell_length_b 11.5996
_cell_length_c 9.0295
_cell_angle_alpha 90.00
_cell_angle_beta 90.00
_cell_angle_gamma 90.00
_space_group_name_H-M_alt 'C m c m'
_space_group_IT_number 63
_space_group_name_Hall '-C 2c 2'
loop_
_atom_site_label
_atom_site_type_symbol
_atom_site_fract_x
_atom_site_fract_y
_atom_site_fract_z
_atom_site_occupancy
Mg1 Mg 0.0000 0.2460 0.2500 1
Cu1 Cu 0.0000 0.0492 0.7500 1
Ir1 Ir 0.0000 0.5000 0.0000 1
S1 S 0.0000 0.1392 0.5323 1
S2 S 0.0000 0.4135 0.7500 1
```

(4)
Diffraction record for Ga2Au3. The powder diffractogram is calculated, not measured: it uses a PBE-relaxed structure and Cu Kα (λ = 1.5418 Å).
No peak broadening, texture or thermal motion is included.

Main lines, in order of falling intensity (2θ = 10–90°):
Position (°2θ)  I_rel
39.45  100
28.08  70
41.59  35
48.95  28
40.89  23
43.07  22
44.49  21
24.39  19

Structure:
```
data_Ga2Au3
_cell_length_a 12.2166
_cell_length_b 3.7215
_cell_length_c 8.2220
_cell_angle_alpha 90.00
_cell_angle_beta 90.00
_cell_angle_gamma 90.00
_space_group_name_H-M_alt 'P n m a'
_space_group_IT_number 62
loop_
_space_group_symop_operation_xyz
'x,y,z'
'-x,-y,-z'
'-x+1/2,-y,z+1/2'
'x+1/2,y,-z+1/2'
'x+1/2,-y+1/2,-z+1/2'
'-x+1/2,y+1/2,z+1/2'
'-x,y+1/2,-z'
'x,-y+1/2,z'
loop_
_atom_site_label
_atom_site_type_symbol
_atom_site_fract_x
_atom_site_fract_y
_atom_site_fract_z
_atom_site_occupancy
Ga1 Ga 0.0128 0.2500 0.1471 1
Ga2 Ga 0.2356 0.7500 0.3685 1
Au1 Au 0.0174 0.7500 0.3752 1
Au2 Au 0.1577 0.7500 0.0558 1
Au3 Au 0.1706 0.7500 0.6776 1
```

(5)
Diffraction record for LuSc2In3Pt2. The powder diffractogram is calculated, not measured: it uses a PBE-relaxed structure and Cu Kα (λ = 1.5418 Å).
No peak broadening, texture or thermal motion is included.

Main lines, in order of falling intensity (2θ = 10–90°):
Position (°2θ)  I_rel
35.41  100
36.31  90
38.07  67
13.52  42
45.25  38
71.61  34
66.50  30
41.39  29

Structure:
```
data_LuSc2In3Pt2
_cell_length_a 3.4177
_cell_length_b 13.0836
_cell_length_c 7.5628
_cell_angle_alpha 90.00
_cell_angle_beta 90.00
_cell_angle_gamma 90.00
_space_group_name_H-M_alt 'A m m 2'
_space_group_IT_number 38
loop_
_space_group_symop_operation_xyz
'x,y,z'
'-x,-y,z'
'-x,y,z'
'x,-y,z'
'x,y+1/2,z+1/2'
'-x,-y+1/2,z+1/2'
'-x,y+1/2,z+1/2'
'x,-y+1/2,z+1/2'
loop_
_atom_site_label
_atom_site_type_symbol
_atom_site_fract_x
_atom_site_fract_y
_atom_site_fract_z
_atom_site_occupancy
Lu1 Lu 0.0000 0.0000 0.0000 1
Sc1 Sc 0.0000 0.2112 0.3678 1
In1 In 0.5000 0.0000 0.3496 1
In2 In 0.5000 0.1184 0.6939 1
Pt1 Pt 0.5000 0.1693 0.0804 1
```

(6)
Diffraction record for LiRe3Si5. The powder diffractogram is calculated, not measured: it uses a PBE-relaxed structure and Cu Kα (λ = 1.5418 Å).
No peak broadening, texture or thermal motion is included.

Main lines, in order of falling intensity (2θ = 10–90°):
Position (°2θ)  I_rel
14.02  100
41.89  53
49.08  37
39.26  25
19.34  23
28.26  18
59.60  14
23.97  11

Structure:
```
data_LiRe3Si5
_cell_length_a 5.2991
_cell_length_b 5.2991
_cell_length_c 6.3148
_cell_angle_alpha 90.00
_cell_angle_beta 90.00
_cell_angle_gamma 120.00
_space_group_name_H-M_alt 'P 6/m m m'
_space_group_IT_number 191
_space_group_name_Hall '-P 6 2'
loop_
_atom_site_label
_atom_site_type_symbol
_atom_site_fract_x
_atom_site_fract_y
_atom_site_fract_z
_atom_site_occupancy
Li1 Li 0.0000 0.0000 0.0000 1
Re1 Re 0.0000 0.5000 0.5000 1
Si1 Si 0.0000 0.0000 0.5000 1
Si2 Si 0.3333 0.6667 0.1827 1
```

(7)
Diffraction record for NaNbSeS. The powder diffractogram is calculated, not measured: it uses a PBE-relaxed structure and Cu Kα (λ = 1.5418 Å).
No peak broadening, texture or thermal motion is included.

Main lines, in order of falling intensity (2θ = 10–90°):
Position (°2θ)  I_rel
38.64  100
12.11  96
30.17  43
52.39  36
32.02  26
43.03  21
66.95  19
75.27  18

Structure:
```
data_NaNbSeS
_cell_length_a 3.4932
_cell_length_b 3.4932
_cell_length_c 14.6176
_cell_angle_alpha 90.00
_cell_angle_beta 90.00
_cell_angle_gamma 120.00
_space_group_name_H-M_alt 'P 63 m c'
_space_group_IT_number 186
_space_group_name_Hall 'P 6c -2c'
loop_
_atom_site_label
_atom_site_type_symbol
_atom_site_fract_x
_atom_site_fract_y
_atom_site_fract_z
_atom_site_occupancy
Na1 Na 0.0000 0.0000 0.0000 1
Nb1 Nb 0.0000 0.0000 0.2384 1
Se1 Se 0.3333 0.6667 0.3536 1
S1 S 0.3333 0.6667 0.1335 1
```

(8)
Diffraction record for CsAgSb4S7. The powder diffractogram is calculated, not measured: it uses a PBE-relaxed structure and Cu Kα (λ = 1.5418 Å).
No peak broadening, texture or thermal motion is included.

Main lines, in order of falling intensity (2θ = 10–90°):
Position (°2θ)  I_rel
23.59  100
30.91  99
25.69  95
21.72  85
30.54  78
23.07  68
26.03  59
27.00  55

Structure:
```
data_CsAgSb4S7
_cell_length_a 26.3233
_cell_length_b 8.9529
_cell_length_c 12.4822
_cell_angle_alpha 90.00
_cell_angle_beta 97.45
_cell_angle_gamma 90.00
_space_group_name_H-M_alt 'C 1 2/c 1'
_space_group_IT_number 15
loop_
_space_group_symop_operation_xyz
'x,y,z'
'-x,-y,-z'
'-x,y,-z+1/2'
'x,-y,z+1/2'
'x+1/2,y+1/2,z'
'-x+1/2,-y+1/2,-z'
'-x+1/2,y+1/2,-z+1/2'
'x+1/2,-y+1/2,z+1/2'
loop_
_atom_site_label
_atom_site_type_symbol
_atom_site_fract_x
_atom_site_fract_y
_atom_site_fract_z
_atom_site_occupancy
Cs1 Cs 0.0000 0.1644 0.2500 1
Cs2 Cs 0.2500 0.2500 0.0000 1
Ag1 Ag 0.2424 0.1004 0.3114 1
Sb1 Sb 0.0728 0.4462 0.5772 1
Sb2 Sb 0.0796 0.2055 0.8751 1
Sb3 Sb 0.1420 0.0871 0.5626 1
Sb4 Sb 0.1473 0.3960 0.3237 1
S1 S 0.0384 0.4732 0.8894 1
S2 S 0.0501 0.1772 0.5487 1
S3 S 0.1108 0.1946 0.0688 1
S4 S 0.1485 0.0514 0.3694 1
S5 S 0.1510 0.3214 0.7935 1
S6 S 0.1645 0.4021 0.5265 1
S7 S 0.2386 0.3838 0.3045 1
```

(9)
Diffraction record for Hf2Fe3Mo4C3. The powder diffractogram is calculated, not measured: it uses a PBE-relaxed structure and Cu Kα (λ = 1.5418 Å).
No peak broadening, texture or thermal motion is included.

Main lines, in order of falling intensity (2θ = 10–90°):
Position (°2θ)  I_rel
39.90  100
39.77  61
34.70  56
34.01  29
60.86  27
41.02  23
27.02  20
44.01  20

Structure:
```
data_Hf2Fe3Mo4C3
_cell_length_a 9.1375
_cell_length_b 5.2698
_cell_length_c 13.5634
_cell_angle_alpha 90.00
_cell_angle_beta 103.26
_cell_angle_gamma 90.00
_space_group_name_H-M_alt 'C 1 2/c 1'
_space_group_IT_number 15
loop_
_space_group_symop_operation_xyz
'x,y,z'
'-x,-y,-z'
'-x,y,-z+1/2'
'x,-y,z+1/2'
'x+1/2,y+1/2,z'
'-x+1/2,-y+1/2,-z'
'-x+1/2,y+1/2,-z+1/2'
'x+1/2,-y+1/2,z+1/2'
loop_
_atom_site_label
_atom_site_type_symbol
_atom_site_fract_x
_atom_site_fract_y
_atom_site_fract_z
_atom_site_occupancy
Hf1 Hf 0.0423 0.0830 0.3824 1
Fe1 Fe 0.0000 0.4208 0.7500 1
Fe2 Fe 0.2460 0.1609 0.7506 1
Mo1 Mo 0.1115 0.4106 0.5848 1
Mo2 Mo 0.2242 0.4182 0.9152 1
C1 C 0.0806 0.2419 0.0000 1
C2 C 0.2500 0.2500 0.5000 1
```